# 1
Starting from a GGA-PBE-relaxed structure, the powder diffraction line list of SmAl2Pd9 was computed for λ = 1.5418 Å (Cu Kα).
Peak positions follow from Bragg's law for the DFT cell and can differ from measured ones.

Cell and atoms:
```
data_SmAl2Pd9
_chemical_formula_sum 'Sm1 Al2 Pd9'
_space_group_name_H-M_alt 'P 4/m m m'
_space_group_IT_number 123
_space_group_name_Hall '-P 4 2'
_cell_length_a 4.038
_cell_length_b 4.038
_cell_length_c 11.793
_cell_angle_alpha 90.00
_cell_angle_beta 90.00
_cell_angle_gamma 90.00
loop_
_atom_site_label
_atom_site_fract_x
_atom_site_fract_y
_atom_site_fract_z
Sm1 0.000 0.000 0.000
Al1 0.000 0.000 0.344
Pd1 0.000 0.500 0.186
Pd2 0.000 0.500 0.500
Pd3 0.500 0.500 0.000
Pd4 0.500 0.500 0.341
```

Main lines, sorted by position (5 to 70 degrees two-theta):
hkl 0 0 1, 2θ 7.50, I 3; hkl 1 0 1, 2θ 23.29, I 5; hkl 0 0 4, 2θ 30.32, I 3; hkl 1 1 1, 2θ 32.26, I 3; hkl 1 1 2, 2θ 34.91, I 6; hkl 1 1 3, 2θ 38.99, I 100; hkl 2 0 0, 2θ 44.90, I 35; hkl 0 0 6, 2θ 46.19, I 13; hkl 2 2 0, 2θ 65.37, I 11; hkl 2 0 6, 2θ 66.38, I 17

---

# 2
Starting from a GGA-PBE-relaxed structure, the powder diffraction line list of Sm2Al5Pd4 was computed for λ = 1.5418 Å (Cu Kα).
Peak positions follow from Bragg's law for the DFT cell and can differ from measured ones.

Cell and atoms:
```
data_Sm2Al5Pd4
_chemical_formula_sum 'Sm8 Al20 Pd16'
_space_group_name_H-M_alt 'F m m m'
_space_group_IT_number 69
_space_group_name_Hall '-F 2 2'
_cell_length_a 5.475
_cell_length_b 9.412
_cell_length_c 16.201
_cell_angle_alpha 90.00
_cell_angle_beta 90.00
_cell_angle_gamma 90.00
loop_
_atom_site_label
_atom_site_fract_x
_atom_site_fract_y
_atom_site_fract_z
Sm1 0.000 0.000 0.127
Al1 0.000 0.000 0.500
Al2 0.250 0.250 0.000
Al3 0.250 0.250 0.250
Pd1 0.000 0.161 0.370
```

Main lines, sorted by position (5 to 70 degrees two-theta):
hkl 0 0 4, 2θ 21.95, I 100; hkl 2 0 0, 2θ 32.71, I 44; hkl 1 3 1, 2θ 33.38, I 89; hkl 1 3 3, 2θ 36.98, I 100; hkl 2 0 4, 2θ 39.74, I 80; hkl 1 3 5, 2θ 43.42, I 42; hkl 0 0 8, 2θ 44.75, I 31; hkl 1 3 7, 2θ 51.85, I 36; hkl 0 6 0, 2θ 58.83, I 26; hkl 3 3 3, 2θ 61.21, I 23

---

# 3
Starting from a GGA-PBE-relaxed structure, the powder diffraction line list of SmAlZn4Pd2 was computed for λ = 1.5418 Å (Cu Kα).
Peak positions follow from Bragg's law for the DFT cell and can differ from measured ones.

Cell and atoms:
```
data_SmAlZn4Pd2
_chemical_formula_sum 'Sm3 Al3 Zn12 Pd6'
_space_group_name_H-M_alt 'R -3 m'
_space_group_IT_number 166
_space_group_name_Hall '-R 3 2"'
_cell_length_a 4.3315
_cell_length_b 4.3315
_cell_length_c 25.9837
_cell_angle_alpha 90.00
_cell_angle_beta 90.00
_cell_angle_gamma 120.00
loop_
_atom_site_label
_atom_site_fract_x
_atom_site_fract_y
_atom_site_fract_z
Sm1 0.0000 0.0000 0.0000
Al1 0.0000 0.0000 0.5000
Zn1 0.0000 0.0000 0.1272
Zn2 0.0000 0.0000 0.3990
Pd1 0.0000 0.0000 0.2331
```

Main lines, sorted by position (5 to 70 degrees two-theta):
hkl 1 0 1, 2θ 23.97, I 15; hkl 0 1 5, 2θ 29.37, I 44; hkl 0 1 8, 2θ 36.60, I 82; hkl 1 1 0, 2θ 41.71, I 100; hkl 0 1 11, 2θ 45.37, I 15; hkl 1 0 13, 2θ 51.83, I 20; hkl 1 1 9, 2θ 52.85, I 16; hkl 2 0 8, 2θ 56.67, I 22; hkl 0 1 17, 2θ 66.00, I 12; hkl 0 2 13, 2θ 68.61, I 12